No. 1
For K2AuF4, DFT lattice parameters and positions (PBE) gives the simulated XRD peak list in this record (Cu Kα, 1.54184 Å).
Kinematic intensities with the Lorentz-polarization factor, no thermal factor.

Cell lengths 6.368, 6.368, 3.497 Å; angles 90.00, 90.00, 90.00 degrees
Fractional positions:
K 0.000 0.500 0.000
K 0.500 0.000 0.000
Au 0.000 0.000 0.500
F 0.235 0.235 0.500
F 0.235 0.765 0.500
F 0.765 0.235 0.500
F 0.765 0.765 0.500

The 10 most intense peaks (2θ from 10° to 80°), by angle:
- 2θ = 13.91°, intensity 1000
- 2θ = 19.72°, intensity 135
- 2θ = 28.02°, intensity 190
- 2θ = 29.13°, intensity 363
- 2θ = 31.41°, intensity 258
- 2θ = 32.42°, intensity 515
- 2θ = 40.05°, intensity 228
- 2θ = 40.87°, intensity 257
- 2θ = 52.43°, intensity 252
- 2θ = 67.91°, intensity 145

---

No. 2
For KAu4F12, DFT lattice parameters and positions (PBE) gives the simulated XRD peak list in this record (Cu Kα, 1.54184 Å).
Kinematic intensities with the Lorentz-polarization factor, no thermal factor.

Cell lengths 7.404, 7.404, 7.404 Å; angles 109.47, 109.47, 109.47 degrees
Fractional positions:
K 0.000 0.000 0.000
Au 0.000 0.000 0.500
Au 0.000 0.500 0.000
Au 0.500 0.000 0.000
Au 0.500 0.500 0.500
F 0.000 0.241 0.759
F 0.000 0.759 0.241
F 0.241 0.000 0.759
F 0.241 0.241 0.482
F 0.241 0.482 0.241
F 0.241 0.759 0.000
F 0.482 0.241 0.241
F 0.518 0.759 0.759
F 0.759 0.000 0.241
F 0.759 0.241 0.000
F 0.759 0.518 0.759
F 0.759 0.759 0.518

The 10 most intense peaks (2θ from 10° to 80°), by angle:
- 2θ = 20.78°, intensity 1000
- 2θ = 29.55°, intensity 697
- 2θ = 36.40°, intensity 129
- 2θ = 42.29°, intensity 264
- 2θ = 47.57°, intensity 465
- 2θ = 52.43°, intensity 300
- 2θ = 61.34°, intensity 165
- 2θ = 65.51°, intensity 221
- 2θ = 69.54°, intensity 132
- 2θ = 73.47°, intensity 68

---

No. 3
For K6Au3F2, DFT lattice parameters and positions (PBE) gives the simulated XRD peak list in this record (Cu Kα, 1.54184 Å).
Kinematic intensities with the Lorentz-polarization factor, no thermal factor.

Cell lengths 13.961, 13.961, 13.961 Å; angles 158.52, 158.52, 30.56 degrees
Fractional positions:
K 0.085 0.585 0.500
K 0.198 0.198 0.000
K 0.415 0.915 0.500
K 0.585 0.085 0.500
K 0.802 0.802 0.000
K 0.915 0.415 0.500
Au 0.326 0.326 0.000
Au 0.500 0.500 0.000
Au 0.674 0.674 0.000
F 0.101 0.101 0.000
F 0.899 0.899 0.000

The 10 most intense peaks (2θ from 10° to 80°), by angle:
- 2θ = 17.36°, intensity 740
- 2θ = 19.76°, intensity 290
- 2θ = 23.77°, intensity 647
- 2θ = 24.19°, intensity 522
- 2θ = 28.86°, intensity 280
- 2θ = 31.44°, intensity 1000
- 2θ = 34.49°, intensity 611
- 2θ = 42.31°, intensity 298
- 2θ = 49.57°, intensity 235
- 2θ = 59.87°, intensity 312

---

No. 4
For K2AuF7, DFT lattice parameters and positions (PBE) gives the simulated XRD peak list in this record (Cu Kα, 1.54184 Å).
Kinematic intensities with the Lorentz-polarization factor, no thermal factor.

Cell lengths 7.685, 7.685, 9.710 Å; angles 126.43, 126.43, 52.74 degrees
Fractional positions:
K 0.023 0.279 0.236
K 0.279 0.023 0.736
K 0.721 0.977 0.264
K 0.977 0.721 0.764
Au 0.326 0.674 0.250
Au 0.674 0.326 0.750
F 0.054 0.101 0.917
F 0.101 0.054 0.417
F 0.197 0.481 0.992
F 0.225 0.576 0.328
F 0.379 0.621 0.750
F 0.424 0.775 0.172
F 0.481 0.197 0.492
F 0.519 0.803 0.508
F 0.576 0.225 0.828
F 0.621 0.379 0.250
F 0.775 0.424 0.672
F 0.803 0.519 0.008
F 0.899 0.946 0.583
F 0.946 0.899 0.083

The 10 most intense peaks (2θ from 10° to 80°), by angle:
- 2θ = 15.88°, intensity 1000
- 2θ = 17.20°, intensity 578
- 2θ = 18.30°, intensity 386
- 2θ = 23.10°, intensity 225
- 2θ = 23.87°, intensity 522
- 2θ = 24.49°, intensity 628
- 2θ = 28.89°, intensity 467
- 2θ = 36.10°, intensity 221
- 2θ = 37.96°, intensity 230
- 2θ = 40.58°, intensity 328

---

No. 5
For K2AuF, DFT lattice parameters and positions (PBE) gives the simulated XRD peak list in this record (Cu Kα, 1.54184 Å).
Kinematic intensities with the Lorentz-polarization factor, no thermal factor.

Cell lengths 8.009, 8.009, 8.009 Å; angles 29.55, 29.55, 29.55 degrees
Fractional positions:
K 0.000 0.000 0.000
K 0.201 0.201 0.201
Au 0.768 0.768 0.768
F 0.600 0.600 0.600

The 10 most intense peaks (2θ from 10° to 80°), by angle:
- 2θ = 11.56°, intensity 1000
- 2θ = 25.48°, intensity 767
- 2θ = 26.36°, intensity 705
- 2θ = 29.66°, intensity 833
- 2θ = 31.93°, intensity 962
- 2θ = 37.39°, intensity 440
- 2θ = 40.47°, intensity 230
- 2θ = 44.35°, intensity 483
- 2θ = 45.99°, intensity 244
- 2θ = 57.83°, intensity 302

---

No. 6
For KLiAu2F8, DFT lattice parameters and positions (PBE) gives the simulated XRD peak list in this record (Cu Kα, 1.54184 Å).
Kinematic intensities with the Lorentz-polarization factor, no thermal factor.

Cell lengths 7.290, 7.290, 7.290 Å; angles 45.19, 45.19, 45.19 degrees
Fractional positions:
K 0.000 0.000 0.000
Li 0.500 0.500 0.500
Au 0.212 0.212 0.212
Au 0.788 0.788 0.788
F 0.162 0.378 0.809
F 0.191 0.838 0.622
F 0.312 0.312 0.312
F 0.378 0.809 0.162
F 0.622 0.191 0.838
F 0.688 0.688 0.688
F 0.809 0.162 0.378
F 0.838 0.622 0.191

The 10 most intense peaks (2θ from 10° to 80°), by angle:
- 2θ = 13.55°, intensity 548
- 2θ = 20.43°, intensity 1000
- 2θ = 25.84°, intensity 368
- 2θ = 29.29°, intensity 487
- 2θ = 31.95°, intensity 626
- 2θ = 37.07°, intensity 239
- 2θ = 38.22°, intensity 303
- 2θ = 41.51°, intensity 302
- 2θ = 43.89°, intensity 247
- 2θ = 53.31°, intensity 313

---

No. 7
For K2PdAuF6, DFT lattice parameters and positions (PBE) gives the simulated XRD peak list in this record (Cu Kα, 1.54184 Å).
Kinematic intensities with the Lorentz-polarization factor, no thermal factor.

Cell lengths 6.071, 6.086, 6.315 Å; angles 115.17, 97.10, 114.21 degrees
Fractional positions:
K 0.242 0.009 0.268
K 0.758 0.991 0.732
Pd 0.000 0.500 0.500
Au 0.500 0.500 0.000
F 0.179 0.891 0.802
F 0.191 0.349 0.697
F 0.284 0.619 0.371
F 0.716 0.381 0.629
F 0.809 0.651 0.303
F 0.821 0.109 0.198

The 10 most intense peaks (2θ from 10° to 80°), by angle:
- 2θ = 18.80°, intensity 636
- 2θ = 19.13°, intensity 688
- 2θ = 21.72°, intensity 507
- 2θ = 26.88°, intensity 598
- 2θ = 27.01°, intensity 612
- 2θ = 28.07°, intensity 477
- 2θ = 28.52°, intensity 428
- 2θ = 29.67°, intensity 1000
- 2θ = 38.83°, intensity 338
- 2θ = 49.41°, intensity 299

---

No. 8
For K2Rb6AuF, DFT lattice parameters and positions (PBE) gives the simulated XRD peak list in this record (Cu Kα, 1.54184 Å).
Kinematic intensities with the Lorentz-polarization factor, no thermal factor.

Cell lengths 9.082, 9.082, 9.823 Å; angles 117.54, 117.54, 89.94 degrees
Fractional positions:
K 0.250 0.750 0.000
K 0.750 0.250 0.000
Rb 0.198 0.198 0.895
Rb 0.266 0.266 0.480
Rb 0.266 0.714 0.480
Rb 0.714 0.266 0.480
Rb 0.714 0.714 0.480
Rb 0.721 0.721 0.943
Au 0.962 0.962 0.424
F 0.533 0.533 0.566

The 10 most intense peaks (2θ from 10° to 80°), by angle:
- 2θ = 11.42°, intensity 320
- 2θ = 11.90°, intensity 392
- 2θ = 13.79°, intensity 606
- 2θ = 22.69°, intensity 470
- 2θ = 22.95°, intensity 542
- 2θ = 23.94°, intensity 479
- 2θ = 27.77°, intensity 1000
- 2θ = 36.99°, intensity 551
- 2θ = 39.68°, intensity 426
- 2θ = 46.89°, intensity 250